Record 1
Theoretical XRD peak list of Cs3InO3 for λ = 1.5418 Å (Cu Kα), from a cell relaxed with PBE.

Main lines, in order of falling intensity (10 to 90 degrees two-theta):
2θ/deg	I/Imax	(hkl)
27.57	100	1 2 1
27.73	61	2 1 -2
32.31	53	0 1 4
27.42	50	2 0 2
26.71	47	1 1 -3
34.83	23	3 1 -1
43.77	22	1 3 -3
49.52	21	2 3 3
24.97	17	2 0 -2
54.21	14	3 2 -5

Structural model:
```
data_Cs3InO3
_chemical_formula_sum 'Cs12 In4 O12'
_space_group_name_H-M_alt 'P 1 21/c 1'
_space_group_IT_number 14
_cell_length_a 8.306
_cell_length_b 7.458
_cell_length_c 11.996
_cell_angle_alpha 90.00
_cell_angle_beta 95.61
_cell_angle_gamma 90.00
loop_
_space_group_symop_operation_xyz
'x,y,z'
'-x,-y,-z'
'-x,y+1/2,-z+1/2'
'x,-y+1/2,z+1/2'
loop_
_atom_site_label
_atom_site_type_symbol
_atom_site_fract_x
_atom_site_fract_y
_atom_site_fract_z
Cs1 Cs 0.048 0.122 0.156
Cs2 Cs 0.347 0.168 0.927
Cs3 Cs 0.375 0.679 0.806
In1 In 0.156 0.583 0.067
O1 O 0.099 0.054 0.409
O2 O 0.246 0.662 0.539
O3 O 0.292 0.057 0.692
```

---

Record 2
Theoretical XRD peak list of CsInP2O7 for λ = 1.5418 Å (Cu Kα), from a cell relaxed with PBE.

Main lines, in order of falling intensity (10 to 90 degrees two-theta):
2θ/deg	I/Imax	(hkl)
27.96	100	1 1 2
28.73	43	2 2 -1
23.38	25	2 0 0
22.94	24	1 1 -2
28.61	20	2 1 -2
15.97	16	1 1 -1
27.05	15	0 2 2
24.41	14	1 2 1
40.40	14	1 3 -3
49.51	13	4 2 -1

Structural model:
```
data_CsInP2O7
_chemical_formula_sum 'Cs4 In4 P8 O28'
_space_group_name_H-M_alt 'P 1 21/c 1'
_space_group_IT_number 14
_cell_length_a 7.862
_cell_length_b 10.525
_cell_length_c 8.742
_cell_angle_alpha 90.00
_cell_angle_beta 104.58
_cell_angle_gamma 90.00
loop_
_space_group_symop_operation_xyz
'x,y,z'
'-x,-y,-z'
'-x,y+1/2,-z+1/2'
'x,-y+1/2,z+1/2'
loop_
_atom_site_label
_atom_site_type_symbol
_atom_site_fract_x
_atom_site_fract_y
_atom_site_fract_z
Cs1 Cs 0.196 0.200 0.042
In1 In 0.238 0.602 0.258
P1 P 0.134 0.592 0.830
P2 P 0.427 0.629 0.683
O1 O 0.003 0.004 0.231
O2 O 0.086 0.727 0.767
O3 O 0.154 0.579 0.006
O4 O 0.320 0.602 0.515
O5 O 0.325 0.556 0.799
O6 O 0.387 0.073 0.775
O7 O 0.442 0.729 0.228
```